# NaTbIrO4
Theoretical X-ray powder pattern, Cu Kα. Input: a cell relaxed with GGA-PBE.
Neutral-atom scattering factors, no anomalous dispersion.

Largest 10 diffraction maxima, low angle first, 10 to 90 degrees two-theta:
| 2theta | I_rel |
| --- | --- |
| 10.70 | 44 |
| 18.43 | 34 |
| 18.91 | 28 |
| 32.49 | 82 |
| 33.18 | 33 |
| 33.33 | 40 |
| 33.46 | 100 |
| 46.91 | 32 |
| 47.74 | 32 |
| 58.76 | 30 |

Structure:
```
NaTbIrO4
1.0
3.261 0.000 0.000
0.000 8.064 4.815
0.000 -8.064 4.815
Na Tb Ir O
3 3 3 12
direct
0.000 0.000 0.000 Na
0.500 0.281 0.979 Na
0.500 0.979 0.281 Na
0.500 0.293 0.638 Tb
0.500 0.638 0.293 Tb
0.500 0.681 0.681 Tb
0.000 0.312 0.312 Ir
0.000 0.653 0.975 Ir
0.000 0.975 0.653 Ir
0.000 0.193 0.443 O
0.000 0.218 0.764 O
0.000 0.443 0.193 O
0.000 0.526 0.721 O
0.000 0.721 0.526 O
0.000 0.764 0.218 O
0.500 0.182 0.182 O
0.500 0.440 0.440 O
0.500 0.526 0.978 O
0.500 0.786 0.966 O
0.500 0.966 0.786 O
0.500 0.978 0.526 O
```



# Na4Tb2Ir3O12
Theoretical X-ray powder pattern, Cu Kα. Input: a cell relaxed with GGA-PBE.
Neutral-atom scattering factors, no anomalous dispersion.

Largest 10 diffraction maxima, low angle first, 10 to 90 degrees two-theta:
| 2theta | I_rel |
| --- | --- |
| 10.77 | 25 |
| 18.70 | 89 |
| 32.69 | 86 |
| 33.74 | 100 |
| 40.43 | 17 |
| 47.69 | 50 |
| 58.35 | 20 |
| 59.02 | 50 |
| 67.72 | 22 |
| 78.58 | 19 |

Structure:
```
Na4Tb2Ir3O12
1.0
9.489 0.000 0.000
-4.744 8.218 0.000
0.000 0.000 3.207
Na Tb Ir O
4 2 3 12
direct
0.000 0.000 0.000 Na
0.000 0.699 0.500 Na
0.301 0.301 0.500 Na
0.699 0.000 0.500 Na
0.333 0.667 0.500 Tb
0.667 0.333 0.500 Tb
0.000 0.331 0.000 Ir
0.331 0.000 0.000 Ir
0.669 0.669 0.000 Ir
0.000 0.198 0.500 O
0.000 0.458 0.500 O
0.198 0.000 0.500 O
0.217 0.757 0.000 O
0.243 0.460 0.000 O
0.458 0.000 0.500 O
0.460 0.243 0.000 O
0.540 0.783 0.000 O
0.542 0.542 0.500 O
0.757 0.217 0.000 O
0.783 0.540 0.000 O
0.802 0.802 0.500 O
```